Computed powder diffractogram
Compound: Y7Tm3
Radiation: a wavelength of 1.5418 Å
Structure: the PBE geometry in Alexandria

Structure:
```
Y7Tm3
1.0
9.0383 -2.7169 0.0000
9.0383 2.7169 0.0000
-2.7331 0.0000 6.4830
Y Tm
7 3
direct
0.0000 0.0000 0.0000
0.1995 0.1995 0.6999
0.3897 0.3897 0.1395
0.3897 0.3897 0.6392
0.6103 0.6103 0.3608
0.6103 0.6103 0.8605
0.8005 0.8005 0.3001
0.0000 0.0000 0.5000
0.1996 0.1996 0.2000
0.8004 0.8004 0.8000
```

Largest 10 diffraction maxima, in order of rising 2θ, 2θ = 10–90°:
30.75 deg, intensity 83
31.50 deg, intensity 100
32.97 deg, intensity 46
33.34 deg, intensity 39
40.84 deg, intensity 15
41.43 deg, intensity 16
47.59 deg, intensity 28
57.95 deg, intensity 17
58.89 deg, intensity 16
62.04 deg, intensity 19

=====

Computed powder diffractogram
Compound: Tb2PuPN5
Radiation: a wavelength of 1.5418 Å
Structure: the PBE geometry in Alexandria

Structure:
```
Tb2PuPN5
1.0
1.6367 -7.1783 0.0000
1.6367 7.1783 0.0000
0.0000 0.0000 10.1886
Tb Pu P N
4 2 2 10
direct
0.1085 0.8915 0.5000
0.1308 0.8692 0.1615
0.8692 0.1308 0.6615
0.8915 0.1085 0.0000
0.1969 0.8031 0.8611
0.8031 0.1969 0.3611
0.4553 0.5447 0.2402
0.5447 0.4553 0.7402
0.0238 0.9762 0.8236
0.2912 0.7088 0.5065
0.3432 0.6568 0.1988
0.3443 0.6557 0.8393
0.4873 0.5127 0.6038
0.5127 0.4873 0.1038
0.6557 0.3443 0.3393
0.6568 0.3432 0.6988
0.7088 0.2912 0.0066
0.9762 0.0238 0.3236
```

Largest 10 diffraction maxima, in order of rising 2θ, 2θ = 10–90°:
12.33 deg, intensity 21
21.39 deg, intensity 25
26.33 deg, intensity 30
27.96 deg, intensity 27
29.09 deg, intensity 62
33.16 deg, intensity 42
34.34 deg, intensity 31
38.70 deg, intensity 100
45.64 deg, intensity 31
55.85 deg, intensity 26

=====

Computed powder diffractogram
Compound: Pu2Bi2O7
Radiation: a wavelength of 1.5418 Å
Structure: the PBE geometry in Alexandria

Structure:
```
Pu2Bi2O7
1.0
0.0000 5.5336 5.5336
5.5336 0.0000 5.5336
5.5336 5.5336 0.0000
Pu Bi O
4 4 14
direct
0.0000 0.0000 0.0000
0.0000 0.0000 0.5000
0.0000 0.5000 0.0000
0.5000 0.0000 0.0000
0.0000 0.5000 0.5000
0.5000 0.0000 0.5000
0.5000 0.5000 0.0000
0.5000 0.5000 0.5000
0.0940 0.0940 0.6560
0.0940 0.6560 0.0940
0.0940 0.6560 0.6560
0.3440 0.3440 0.9060
0.3440 0.9060 0.3440
0.3440 0.9060 0.9060
0.3750 0.3750 0.3750
0.6250 0.6250 0.6250
0.6560 0.0940 0.0940
0.6560 0.0940 0.6560
0.6560 0.6560 0.0940
0.9060 0.3440 0.3440
0.9060 0.3440 0.9060
0.9060 0.9060 0.3440
```

Largest 10 diffraction maxima, in order of rising 2θ, 2θ = 10–90°:
26.72 deg, intensity 1
27.93 deg, intensity 100
32.36 deg, intensity 40
46.41 deg, intensity 47
55.04 deg, intensity 48
57.71 deg, intensity 12
67.73 deg, intensity 7
74.78 deg, intensity 20
77.08 deg, intensity 16
86.08 deg, intensity 16

=====

Computed powder diffractogram
Compound: AlSnPd14
Radiation: a wavelength of 1.5418 Å
Structure: the PBE geometry in Alexandria

Structure:
```
AlSnPd14
1.0
5.7119 0.0000 0.0000
0.0000 5.7119 0.0000
0.0000 0.0000 7.6251
Al Sn Pd
1 1 14
direct
0.0000 0.0000 0.0000
0.5000 0.5000 0.0000
0.0000 0.0000 0.5000
0.0000 0.5000 0.0000
0.0000 0.5000 0.5000
0.2463 0.2463 0.2454
0.2463 0.2463 0.7546
0.2463 0.7537 0.2454
0.2463 0.7537 0.7546
0.5000 0.0000 0.0000
0.5000 0.0000 0.5000
0.5000 0.5000 0.5000
0.7537 0.2463 0.2454
0.7537 0.2463 0.7546
0.7537 0.7537 0.2454
0.7537 0.7537 0.7546
```

Largest 10 diffraction maxima, in order of rising 2θ, 2θ = 10–90°:
19.42 deg, intensity 2
28.14 deg, intensity 1
39.42 deg, intensity 100
44.88 deg, intensity 34
47.71 deg, intensity 15
65.35 deg, intensity 11
67.58 deg, intensity 20
79.07 deg, intensity 25
83.21 deg, intensity 11
84.84 deg, intensity 11

=====

Computed powder diffractogram
Compound: H4PbI3N
Radiation: a wavelength of 1.5418 Å
Structure: the PBE geometry in Alexandria

Structure:
```
H4PbI3N
1.0
4.7374 0.0000 0.0000
-2.2482 7.9629 0.0000
-0.1124 -0.4135 12.1075
H Pb I N
8 2 6 2
direct
0.0000 0.0000 0.0000
0.0346 0.1676 0.0877
0.1986 0.0137 0.1199
0.3277 0.1490 0.0190
0.5050 0.0198 0.4777
0.5442 0.1240 0.6028
0.7231 0.9734 0.5742
0.8251 0.1604 0.5117
0.8591 0.5804 0.3130
0.9031 0.5624 0.8092
0.2168 0.3111 0.3623
0.2939 0.2871 0.7489
0.4687 0.8556 0.2612
0.5580 0.8349 0.8694
0.8077 0.4225 0.0587
0.9623 0.7226 0.5647
0.1395 0.0809 0.0568
0.6486 0.0704 0.5425
```

Largest 10 diffraction maxima, in order of rising 2θ, 2θ = 10–90°:
11.12 deg, intensity 100
14.63 deg, intensity 73
24.39 deg, intensity 37
25.04 deg, intensity 99
25.39 deg, intensity 60
26.32 deg, intensity 28
29.50 deg, intensity 63
29.65 deg, intensity 33
36.47 deg, intensity 42
37.99 deg, intensity 36

=====

Computed powder diffractogram
Compound: PuInAgCl6
Radiation: a wavelength of 1.5418 Å
Structure: the PBE geometry in Alexandria

Structure:
```
PuInAgCl6
1.0
6.9164 0.0000 0.0000
-3.4582 5.9897 0.0000
0.0000 0.0000 6.8465
Pu In Ag Cl
1 1 1 6
direct
0.0000 0.0000 0.0000
0.3333 0.6667 0.5000
0.6667 0.3333 0.0000
0.3159 0.0133 0.2230
0.3159 0.3025 0.7770
0.6975 0.0133 0.7770
0.6975 0.6841 0.2230
0.9867 0.3025 0.2230
0.9867 0.6841 0.7770
```

Largest 10 diffraction maxima, in order of rising 2θ, 2θ = 10–90°:
12.93 deg, intensity 31
14.79 deg, intensity 18
19.69 deg, intensity 100
25.76 deg, intensity 34
28.93 deg, intensity 32
32.64 deg, intensity 27
36.95 deg, intensity 67
42.04 deg, intensity 29
45.43 deg, intensity 25
59.93 deg, intensity 15